Entry 1:
Simulated powder X-ray diffraction pattern
Compound: NaBi2AuO5
Radiation: Cu Ka
Structure: DFT lattice parameters and positions (PBE)
Neutral-atom scattering factors, no anomalous dispersion.

Main lines, low angle first (10° ≤ 2θ ≤ 90°):
2θ (°)	d/Å	I_rel
14.09	6.284	21
15.77	5.620	16
28.43	3.140	64
29.32	3.046	33
31.88	2.807	100
35.75	2.511	15
38.61	2.332	14
50.36	1.812	29
55.21	1.664	13
58.80	1.570	12

Structural model:
```
NaBi2AuO5
1.0
12.5670 0.0000 0.0000
0.0000 12.5670 0.0000
0.0000 0.0000 3.6201
Na Bi Au O
4 8 4 20
Direct
0.1993 0.3007 0.0000 Na
0.3007 0.8007 0.0000 Na
0.6993 0.1993 0.0000 Na
0.8007 0.6993 0.0000 Na
0.0502 0.7680 0.5000 Bi
0.2320 0.0502 0.5000 Bi
0.2680 0.5502 0.5000 Bi
0.4498 0.2680 0.5000 Bi
0.5502 0.7320 0.5000 Bi
0.7320 0.4498 0.5000 Bi
0.7680 0.9498 0.5000 Bi
0.9498 0.2320 0.5000 Bi
0.0000 0.0000 0.0000 Au
0.0000 0.5000 0.0000 Au
0.5000 0.0000 0.0000 Au
0.5000 0.5000 0.0000 Au
0.0043 0.3385 0.0000 O
0.1141 0.8841 0.0000 O
0.1159 0.1141 0.0000 O
0.1615 0.4957 0.0000 O
0.2123 0.7123 0.5000 O
0.2877 0.2123 0.5000 O
0.3385 0.9957 0.0000 O
0.3841 0.6141 0.0000 O
0.3859 0.3841 0.0000 O
0.4957 0.8385 0.0000 O
0.5043 0.1615 0.0000 O
0.6141 0.6159 0.0000 O
0.6159 0.3859 0.0000 O
0.6615 0.0043 0.0000 O
0.7123 0.7877 0.5000 O
0.7877 0.2877 0.5000 O
0.8385 0.5043 0.0000 O
0.8841 0.8859 0.0000 O
0.8859 0.1159 0.0000 O
0.9957 0.6615 0.0000 O
```

***

Entry 2:
Simulated powder X-ray diffraction pattern
Compound: PmBiAu2
Radiation: Cu Ka
Structure: DFT lattice parameters and positions (PBE)
Neutral-atom scattering factors, no anomalous dispersion.

Main lines, low angle first (10° ≤ 2θ ≤ 90°):
2θ (°)	d/Å	I_rel
21.08	4.215	1
34.76	2.581	100
41.01	2.201	1
49.97	1.825	18
62.31	1.490	38
73.37	1.290	12
83.81	1.154	17

Structural model:
```
PmBiAu2
1.0
0.0000 3.6500 3.6500
3.6500 0.0000 3.6500
3.6500 3.6500 0.0000
Pm Bi Au
1 1 2
Direct
0.0000 0.0000 0.0000 Pm
0.5000 0.5000 0.5000 Bi
0.2500 0.2500 0.2500 Au
0.7500 0.7500 0.7500 Au
```

***

Entry 3:
Simulated powder X-ray diffraction pattern
Compound: Pr3Bi4Au3
Radiation: Cu Ka
Structure: DFT lattice parameters and positions (PBE)
Neutral-atom scattering factors, no anomalous dispersion.

Main lines, low angle first (10° ≤ 2θ ≤ 90°):
2θ (°)	d/Å	I_rel
20.97	4.236	17
27.18	3.281	10
32.28	2.773	100
38.81	2.320	30
42.69	2.118	17
44.53	2.035	21
48.03	1.894	12
56.06	1.641	11
60.52	1.530	11
66.18	1.412	10

Structural model:
```
Pr3Bi4Au3
1.0
-5.1880 5.1880 5.1880
5.1880 -5.1880 5.1880
5.1880 5.1880 -5.1880
Pr Bi Au
6 8 6
Direct
0.1250 0.8750 0.2500 Pr
0.2500 0.1250 0.8750 Pr
0.3750 0.6250 0.7500 Pr
0.6250 0.7500 0.3750 Pr
0.7500 0.3750 0.6250 Pr
0.8750 0.2500 0.1250 Pr
0.0000 0.1762 0.5000 Bi
0.0000 0.6762 0.5000 Bi
0.1762 0.5000 0.0000 Bi
0.3238 0.3238 0.3238 Bi
0.5000 0.0000 0.1762 Bi
0.5000 0.0000 0.6762 Bi
0.6762 0.5000 0.0000 Bi
0.8238 0.8238 0.8238 Bi
0.1250 0.7500 0.8750 Au
0.2500 0.6250 0.3750 Au
0.3750 0.2500 0.6250 Au
0.6250 0.3750 0.2500 Au
0.7500 0.8750 0.1250 Au
0.8750 0.1250 0.7500 Au
```